This entry pairs a crystal structure of Er7Tm12Tl with its theoretical PXRD pattern. Radiation: Cu Ka. Structure: DFT lattice parameters and positions (GGA-PBE).
No peak broadening, texture or thermal motion is included.

Cell and atoms:
Cell lengths 8.5358, 8.5358, 8.5358 Å; angles 87.03, 87.03, 87.03 degrees
Element x y z (fractional)
Er 0.0000 0.0000 0.0000
Er 0.1055 0.3514 0.4271
Er 0.3514 0.4271 0.1055
Er 0.4271 0.1055 0.3514
Er 0.5729 0.8945 0.6486
Er 0.6486 0.5729 0.8945
Er 0.8945 0.6486 0.5729
Tm 0.9998 0.3605 0.8842
Tm 0.0002 0.6395 0.1158
Tm 0.1158 0.0002 0.6395
Tm 0.2420 0.7494 0.3614
Tm 0.2506 0.6386 0.7580
Tm 0.3614 0.2420 0.7494
Tm 0.3605 0.8842 0.9998
Tm 0.6395 0.1158 0.0002
Tm 0.6386 0.7580 0.2506
Tm 0.7494 0.3614 0.2420
Tm 0.7580 0.2506 0.6386
Tm 0.8842 0.9998 0.3605
Tl 0.5000 0.5000 0.5000

Main lines, by angle (5 to 70 degrees two-theta):
28.92°, 3.087 Å, I 14
30.08°, 2.971 Å, I 33
31.52°, 2.838 Å, I 51
32.22°, 2.778 Å, I 100
32.77°, 2.733 Å, I 55
33.79°, 2.653 Å, I 88
37.98°, 2.369 Å, I 16
52.82°, 1.733 Å, I 21
54.43°, 1.686 Å, I 18
56.23°, 1.636 Å, I 19